Record 1
Diffraction record for MnAl2Cr2. The PXRD pattern is computed, not measured: it uses the GGA-PBE geometry in Alexandria and Cu Kα X-rays.
Neutral-atom scattering factors, no anomalous dispersion.

Principal peaks in the range 2θ from 10° to 80°, in order of falling intensity:
2θ (°)  I_rel
13.59  100
41.58  63
39.14  55
43.04  52
45.34  51
46.24  46
44.46  28
42.12  26

Cell and atoms:
Unit cell a=4.9216 b=4.9216 c=6.5152 alpha=90.04 beta=90.04 gamma=121.35
Fractional positions:
Mn1 0.2501 0.7499 0.0000
Mn2 0.7499 0.2501 0.0000
Al1 0.0842 0.4141 0.6596
Al2 0.4141 0.0842 0.6596
Al3 0.5859 0.9158 0.3404
Al4 0.9158 0.5859 0.3404
Cr1 0.2503 0.2503 0.3052
Cr2 0.2499 0.2499 0.9723
Cr3 0.7501 0.7501 0.0277
Cr4 0.7497 0.7497 0.6948

=====

Record 2
Diffraction record for MnAl6Cr. The PXRD pattern is computed, not measured: it uses the GGA-PBE geometry in Alexandria and Cu Kα X-rays.
Neutral-atom scattering factors, no anomalous dispersion.

Principal peaks in the range 2θ from 10° to 80°, in order of falling intensity:
2θ (°)  I_rel
42.23  100
22.62  80
42.37  62
42.02  60
41.63  58
26.38  26
51.49  23
35.26  17

Cell and atoms:
Unit cell a=4.4898 b=4.4898 c=7.0285 alpha=102.21 beta=102.21 gamma=75.44
Fractional positions:
Mn1 0.0000 0.0000 0.0000
Al1 0.0607 0.5612 0.1883
Al2 0.1283 0.1283 0.4075
Al3 0.4388 0.9393 0.8117
Al4 0.5612 0.0607 0.1883
Al5 0.8717 0.8717 0.5925
Al6 0.9393 0.4388 0.8117
Cr1 0.5000 0.5000 0.5000

=====

Record 3
Diffraction record for Mn5Nb2AlCr2. The PXRD pattern is computed, not measured: it uses the GGA-PBE geometry in Alexandria and Cu Kα X-rays.
Neutral-atom scattering factors, no anomalous dispersion.

Principal peaks in the range 2θ from 10° to 80°, in order of falling intensity:
2θ (°)  I_rel
42.76  100
39.70  68
40.90  40
46.09  38
49.25  25
36.68  25
13.38  24
40.42  22

Cell and atoms:
Unit cell a=9.3605 b=9.3605 c=3.0219 alpha=90.00 beta=90.00 gamma=90.00
Fractional positions:
Mn1 0.0000 0.5000 0.0000
Mn2 0.0607 0.2067 0.0000
Mn3 0.2067 0.9393 0.0000
Mn4 0.2933 0.4393 0.0000
Mn5 0.4393 0.7067 0.0000
Mn6 0.5000 0.0000 0.0000
Mn7 0.5607 0.2933 0.0000
Mn8 0.7067 0.5607 0.0000
Mn9 0.7933 0.0607 0.0000
Mn10 0.9393 0.7933 0.0000
Nb1 0.1742 0.6742 0.5000
Nb2 0.3258 0.1742 0.5000
Nb3 0.6742 0.8258 0.5000
Nb4 0.8258 0.3258 0.5000
Al1 0.0000 0.0000 0.5000
Al2 0.5000 0.5000 0.5000
Cr1 0.1276 0.3724 0.5000
Cr2 0.3724 0.8724 0.5000
Cr3 0.6276 0.1276 0.5000
Cr4 0.8724 0.6276 0.5000